# 1
Simulated powder XRD pattern
Compound: KCuPb2
Radiation: Cu Ka
Structure: a crystal structure in Alexandria, relaxed with GGA-PBE

Principal peaks in the range 2θ from 10° to 80°, by angle:
| 2θ (°) | I (rel.) |
| --- | --- |
| 15.6 | 100 |
| 20.2 | 27 |
| 21.2 | 34 |
| 23.3 | 30 |
| 31.6 | 56 |
| 33.9 | 34 |
| 36.9 | 36 |
| 42.4 | 25 |
| 43.2 | 24 |
| 47.7 | 24 |

Atomic structure:
Cell lengths 5.9877, 5.9877, 17.6053 Å; angles 90.00, 90.00, 90.00 degrees
Fractional coordinates of all 16 atoms:
K1 0.0000 0.0000 0.0000
K2 0.0000 0.5000 0.2500
K3 0.5000 0.0000 0.7500
K4 0.5000 0.5000 0.5000
Cu1 0.0000 0.0000 0.5000
Cu2 0.0000 0.5000 0.7500
Cu3 0.5000 0.0000 0.2500
Cu4 0.5000 0.5000 0.0000
Pb1 0.0565 0.2500 0.6250
Pb2 0.2500 0.5565 0.8750
Pb3 0.2500 0.9435 0.3750
Pb4 0.4435 0.2500 0.1250
Pb5 0.5565 0.7500 0.1250
Pb6 0.7500 0.0565 0.3750
Pb7 0.7500 0.4435 0.8750
Pb8 0.9435 0.7500 0.6250

# 2
Simulated powder XRD pattern
Compound: CaNdGaS4
Radiation: Cu Ka
Structure: a crystal structure in Alexandria, relaxed with GGA-PBE

Principal peaks in the range 2θ from 10° to 80°, by angle:
| 2θ (°) | I (rel.) |
| --- | --- |
| 13.8 | 47 |
| 22.5 | 21 |
| 22.8 | 28 |
| 26.3 | 100 |
| 26.6 | 78 |
| 32.1 | 72 |
| 42.2 | 25 |
| 45.4 | 22 |
| 46.0 | 83 |
| 46.5 | 20 |

Atomic structure:
Cell lengths 7.8949, 7.8949, 7.8949 Å; angles 120.70, 119.24, 90.06 degrees
Fractional coordinates of all 14 atoms:
Ca1 0.5000 0.0000 0.0000
Ca2 0.5000 0.5000 0.5000
Nd1 0.0000 0.0000 0.0000
Nd2 0.5000 0.0000 0.5000
Ga1 0.1183 0.3683 0.7500
Ga2 0.8817 0.6317 0.2500
S1 0.2400 0.7468 0.4932
S2 0.2464 0.2532 0.9932
S3 0.2466 0.2539 0.5073
S4 0.2466 0.7393 0.9927
S5 0.7534 0.2607 0.0073
S6 0.7534 0.7461 0.4927
S7 0.7536 0.7468 0.0068
S8 0.7600 0.2532 0.5068